Diffraction record for BaCo2Sn4O11. The powder diffraction line list is computed, not measured: it uses the PBE+U geometry in the Materials Project and copper Kα.
Lines closer than 0.1° are merged.

The 6 most intense peaks (15 to 90 degrees two-theta), most intense first:
- hkl 1 1 -4, d = 2.974 Å, rel. 1000
- hkl 1 3 -2, d = 2.839 Å, rel. 790
- hkl 2 2 -6, d = 1.780 Å, rel. 735
- hkl 1 1 4, d = 2.964 Å, rel. 573
- hkl 2 2 2, d = 2.499 Å, rel. 465
- hkl 2 6 0, d = 1.547 Å, rel. 399

Cell and atoms:
```
data_BaCo2Sn4O11
_chemical_formula_sum 'Ba4 Co8 Sn16 O44'
_cell_length_a 6.150
_cell_length_b 10.740
_cell_length_c 14.290
_cell_angle_alpha 90.00
_cell_angle_beta 90.21
_cell_angle_gamma 90.00
_symmetry_space_group_name_H-M 'C 1 2/c 1'
_symmetry_Int_Tables_number 15
_symmetry_space_group_name_Hall '-C 2yc'
loop_
_atom_site_label
_atom_site_type_symbol
_atom_site_fract_x
_atom_site_fract_y
_atom_site_fract_z
_atom_site_occupancy
Ba1 Ba 0.000 0.168 0.250 1
Co1 Co 0.000 0.167 0.750 1
Co2 Co 0.250 0.250 0.000 1
Sn1 Sn 0.000 0.000 0.000 1
Sn2 Sn 0.007 0.498 0.354 1
Sn3 Sn 0.250 0.250 0.500 1
O1 O 0.000 0.353 0.750 1
O2 O 0.002 0.326 0.419 1
O3 O 0.007 0.164 0.577 1
O4 O 0.222 0.426 0.248 1
O5 O 0.238 0.086 0.081 1
O6 O 0.240 0.087 0.416 1
```

---

Diffraction record for BaSr3Co4O12. The powder diffraction line list is computed, not measured: it uses the PBE+U geometry in the Materials Project and copper Kα.
Lines closer than 0.1° are merged.

The 6 most intense peaks (15 to 90 degrees two-theta), most intense first:
- hkl 0 1 3, d = 2.761 Å, rel. 1000
- hkl 1 2 -2, d = 2.145 Å, rel. 758
- hkl 0 2 0, d = 2.771 Å, rel. 506
- hkl 1 0 -2, d = 3.406 Å, rel. 454
- hkl 1 1 -1, d = 3.390 Å, rel. 439
- hkl 1 0 2, d = 3.368 Å, rel. 430

Cell and atoms:
```
data_BaSr3Co4O12
_chemical_formula_sum 'Ba1 Sr3 Co4 O12'
_cell_length_a 4.794
_cell_length_b 5.542
_cell_length_c 9.554
_cell_angle_alpha 90.01
_cell_angle_beta 90.60
_cell_angle_gamma 90.44
_symmetry_space_group_name_H-M 'P 1'
_symmetry_Int_Tables_number 1
_symmetry_space_group_name_Hall 'P 1'
loop_
_atom_site_label
_atom_site_type_symbol
_atom_site_fract_x
_atom_site_fract_y
_atom_site_fract_z
_atom_site_occupancy
Ba1 Ba 0.000 0.000 0.000 1
Sr1 Sr 0.004 0.498 0.498 1
Sr2 Sr 0.497 0.500 0.828 1
Sr3 Sr 0.507 0.998 0.334 1
Co1 Co 0.251 0.999 0.661 1
Co2 Co 0.252 0.499 0.170 1
Co3 Co 0.752 0.499 0.170 1
Co4 Co 0.752 0.999 0.661 1
O1 O 0.001 0.271 0.251 1
O2 O 0.002 0.500 0.019 1
O3 O 0.002 0.723 0.249 1
O4 O 0.002 0.768 0.736 1
O5 O 0.011 0.234 0.735 1
O6 O 0.493 0.768 0.586 1
O7 O 0.501 0.227 0.585 1
O8 O 0.501 0.274 0.093 1
O9 O 0.502 0.499 0.320 1
O10 O 0.502 0.728 0.092 1
O11 O 0.509 0.000 0.813 1
O12 O 0.991 0.998 0.510 1
```

---

Diffraction record for BaSr3Co4O12. The powder diffraction line list is computed, not measured: it uses the PBE+U geometry in the Materials Project and copper Kα.
Lines closer than 0.1° are merged.

The 6 most intense peaks (15 to 90 degrees two-theta), most intense first:
- hkl 2 0 0, d = 2.767 Å, rel. 1000
- hkl 1 1 1, d = 3.380 Å, rel. 870
- hkl 2 1 -2, d = 2.141 Å, rel. 706
- hkl 1 2 -1, d = 2.134 Å, rel. 436
- hkl 2 2 2, d = 1.690 Å, rel. 361
- hkl 1 2 5, d = 1.442 Å, rel. 304

Cell and atoms:
```
data_BaSr3Co4O12
_chemical_formula_sum 'Ba1 Sr3 Co4 O12'
_cell_length_a 5.536
_cell_length_b 4.767
_cell_length_c 9.585
_cell_angle_alpha 90.00
_cell_angle_beta 90.02
_cell_angle_gamma 90.00
_symmetry_space_group_name_H-M 'P 1 m 1'
_symmetry_Int_Tables_number 6
_symmetry_space_group_name_Hall 'P -2y'
loop_
_atom_site_label
_atom_site_type_symbol
_atom_site_fract_x
_atom_site_fract_y
_atom_site_fract_z
_atom_site_occupancy
Ba1 Ba 0.000 0.000 0.000 1
Sr1 Sr 0.499 0.500 0.170 1
Sr2 Sr 0.500 0.000 0.502 1
Sr3 Sr 0.999 0.500 0.665 1
Co1 Co 0.000 0.250 0.338 1
Co2 Co 0.500 0.250 0.829 1
O1 O 0.001 0.500 0.185 1
O2 O 0.228 0.500 0.413 1
O3 O 0.236 0.000 0.264 1
O4 O 0.270 0.500 0.907 1
O5 O 0.274 0.000 0.751 1
O6 O 0.499 0.000 0.982 1
O7 O 0.500 0.500 0.678 1
O8 O 0.728 0.500 0.906 1
O9 O 0.729 0.000 0.749 1
O10 O 0.767 0.500 0.413 1
O11 O 0.769 0.000 0.265 1
O12 O 0.999 0.000 0.490 1
```

---

Diffraction record for BaSrCo2O6. The powder diffraction line list is computed, not measured: it uses the PBE+U geometry in the Materials Project and copper Kα.
Lines closer than 0.1° are merged.

The 6 most intense peaks (15 to 90 degrees two-theta), most intense first:
- hkl 1 1 0, d = 2.814 Å, rel. 1000
- hkl 1 0 1, d = 3.400 Å, rel. 940
- hkl 2 0 1, d = 2.168 Å, rel. 701
- hkl 1 0 2, d = 2.133 Å, rel. 404
- hkl 2 0 2, d = 1.700 Å, rel. 335
- hkl 2 1 2, d = 1.455 Å, rel. 296

Cell and atoms:
```
data_BaSrCo2O6
_chemical_formula_sum 'Ba1 Sr1 Co2 O6'
_cell_length_a 5.6281
_cell_length_b 5.6281
_cell_length_c 4.7442
_cell_angle_alpha 90.00
_cell_angle_beta 90.00
_cell_angle_gamma 120.00
_symmetry_space_group_name_H-M 'P -6 m 2'
_symmetry_Int_Tables_number 187
_symmetry_space_group_name_Hall 'P -6 2'
loop_
_atom_site_label
_atom_site_type_symbol
_atom_site_fract_x
_atom_site_fract_y
_atom_site_fract_z
_atom_site_occupancy
Ba1 Ba 0.0000 0.0000 0.0000 1
Sr1 Sr 0.3333 0.6667 0.5000 1
Co1 Co 0.6667 0.3333 0.2496 1
O1 O 0.3651 0.1825 0.5000 1
O2 O 0.5152 0.0305 0.0000 1
```

---

Diffraction record for Ba3SrCo4O12. The powder diffraction line list is computed, not measured: it uses the PBE+U geometry in the Materials Project and copper Kα.
Lines closer than 0.1° are merged.

The 6 most intense peaks (15 to 90 degrees two-theta), most intense first:
- hkl 1 1 -1, d = 3.428 Å, rel. 1000
- hkl 0 2 0, d = 2.836 Å, rel. 990
- hkl -1 2 2, d = 2.186 Å, rel. 459
- hkl -2 1 1, d = 2.152 Å, rel. 313
- hkl 1 2 2, d = 2.182 Å, rel. 229
- hkl 2 -2 2, d = 1.716 Å, rel. 155

Cell and atoms:
```
data_Ba3SrCo4O12
_chemical_formula_sum 'Ba3 Sr1 Co4 O12'
_cell_length_a 4.786
_cell_length_b 5.676
_cell_length_c 9.815
_cell_angle_alpha 90.08
_cell_angle_beta 90.07
_cell_angle_gamma 90.16
_symmetry_space_group_name_H-M 'P 1'
_symmetry_Int_Tables_number 1
_symmetry_space_group_name_Hall 'P 1'
loop_
_atom_site_label
_atom_site_type_symbol
_atom_site_fract_x
_atom_site_fract_y
_atom_site_fract_z
_atom_site_occupancy
Ba1 Ba 0.000 0.000 0.000 1
Ba2 Ba 0.000 0.500 0.497 1
Ba3 Ba 0.500 0.499 0.831 1
Sr1 Sr 0.500 0.998 0.332 1
Co1 Co 0.250 0.000 0.661 1
Co2 Co 0.250 0.500 0.168 1
Co3 Co 0.750 0.000 0.661 1
Co4 Co 0.750 0.500 0.168 1
O1 O 0.000 0.000 0.511 1
O2 O 0.000 0.224 0.737 1
O3 O 0.000 0.777 0.737 1
O4 O 0.001 0.499 0.019 1
O5 O 0.002 0.277 0.241 1
O6 O 0.499 0.500 0.317 1
O7 O 0.499 0.725 0.097 1
O8 O 0.500 0.000 0.811 1
O9 O 0.500 0.221 0.583 1
O10 O 0.500 0.778 0.583 1
O11 O 0.502 0.271 0.096 1
O12 O 0.998 0.727 0.243 1
```

---

Diffraction record for Ba3SrCo4O12. The powder diffraction line list is computed, not measured: it uses the PBE+U geometry in the Materials Project and copper Kα.
Lines closer than 0.1° are merged.

The 6 most intense peaks (15 to 90 degrees two-theta), most intense first:
- hkl 0 2 0, d = 2.836 Å, rel. 1000
- hkl 1 -1 1, d = 3.453 Å, rel. 519
- hkl 1 1 1, d = 3.436 Å, rel. 506
- hkl 1 0 4, d = 2.189 Å, rel. 235
- hkl -1 2 2, d = 2.196 Å, rel. 231
- hkl 1 2 2, d = 2.183 Å, rel. 229

Cell and atoms:
```
data_Ba3SrCo4O12
_chemical_formula_sum 'Ba3 Sr1 Co4 O12'
_cell_length_a 4.830
_cell_length_b 5.674
_cell_length_c 9.821
_cell_angle_alpha 90.02
_cell_angle_beta 90.05
_cell_angle_gamma 90.47
_symmetry_space_group_name_H-M 'P 1'
_symmetry_Int_Tables_number 1
_symmetry_space_group_name_Hall 'P 1'
loop_
_atom_site_label
_atom_site_type_symbol
_atom_site_fract_x
_atom_site_fract_y
_atom_site_fract_z
_atom_site_occupancy
Ba1 Ba 0.000 0.000 0.000 1
Ba2 Ba 0.001 0.501 0.496 1
Ba3 Ba 0.501 0.001 0.665 1
Sr1 Sr 0.497 0.500 0.163 1
Co1 Co 0.251 0.500 0.835 1
Co2 Co 0.252 0.001 0.328 1
Co3 Co 0.751 0.501 0.836 1
Co4 Co 0.752 0.001 0.328 1
O1 O 0.002 0.500 0.986 1
O2 O 0.003 0.281 0.761 1
O3 O 0.016 0.222 0.255 1
O4 O 0.489 0.777 0.399 1
O5 O 0.499 0.719 0.911 1
O6 O 0.501 0.501 0.685 1
O7 O 0.503 0.282 0.911 1
O8 O 0.506 0.001 0.179 1
O9 O 0.510 0.227 0.399 1
O10 O 0.991 0.775 0.255 1
O11 O 0.997 0.001 0.477 1
O12 O 0.999 0.721 0.761 1
```

---

Diffraction record for BaSrCoWO6. The powder diffraction line list is computed, not measured: it uses the PBE+U geometry in the Materials Project and copper Kα.
Lines closer than 0.1° are merged.

The 6 most intense peaks (15 to 90 degrees two-theta), most intense first:
- hkl 1 1 2, d = 2.879 Å, rel. 1000
- hkl 2 0 0, d = 2.883 Å, rel. 502
- hkl 3 1 2, d = 1.662 Å, rel. 397
- hkl 1 0 1, d = 4.704 Å, rel. 313
- hkl 2 2 0, d = 2.039 Å, rel. 309
- hkl 4 0 0, d = 1.439 Å, rel. 235

Cell and atoms:
```
data_BaSrCoWO6
_chemical_formula_sum 'Ba2 Sr2 Co2 W2 O12'
_cell_length_a 5.758
_cell_length_b 5.776
_cell_length_c 8.129
_cell_angle_alpha 90.00
_cell_angle_beta 90.00
_cell_angle_gamma 90.00
_symmetry_space_group_name_H-M 'I m m 2'
_symmetry_Int_Tables_number 44
_symmetry_space_group_name_Hall 'I 2 -2'
loop_
_atom_site_label
_atom_site_type_symbol
_atom_site_fract_x
_atom_site_fract_y
_atom_site_fract_z
_atom_site_occupancy
Ba1 Ba 0.000 0.000 0.000 1
Sr1 Sr 0.000 0.000 0.499 1
Co1 Co 0.000 0.500 0.749 1
W1 W 0.000 0.500 0.249 1
O1 O 0.000 0.500 0.009 1
O2 O 0.000 0.500 0.490 1
O3 O 0.240 0.260 0.249 1
```

---

Diffraction record for Ba3Ta2CoO9. The powder diffraction line list is computed, not measured: it uses the PBE+U geometry in the Materials Project and copper Kα.
Lines closer than 0.1° are merged.

The 6 most intense peaks (15 to 90 degrees two-theta), most intense first:
- hkl 1 1 0, d = 2.924 Å, rel. 1000
- hkl 3 0 0, d = 1.687 Å, rel. 302
- hkl 2 0 2, d = 2.068 Å, rel. 289
- hkl 4 1 0, d = 1.104 Å, rel. 108
- hkl 1 0 4, d = 1.692 Å, rel. 103
- hkl 0 2 4, d = 1.464 Å, rel. 92

Cell and atoms:
```
data_Ba3Ta2CoO9
_chemical_formula_sum 'Ba3 Ta2 Co1 O9'
_cell_length_a 5.8401
_cell_length_b 5.8401
_cell_length_c 7.1833
_cell_angle_alpha 90.00
_cell_angle_beta 90.00
_cell_angle_gamma 120.00
_symmetry_space_group_name_H-M 'P -3 m 1'
_symmetry_Int_Tables_number 164
_symmetry_space_group_name_Hall '-P 3 2"'
loop_
_atom_site_label
_atom_site_type_symbol
_atom_site_fract_x
_atom_site_fract_y
_atom_site_fract_z
_atom_site_occupancy
Ba1 Ba 0.0000 0.0000 0.0000 1
Ba2 Ba 0.3333 0.6667 0.6632 1
Ta1 Ta 0.3333 0.6667 0.1760 1
Co1 Co 0.0000 0.0000 0.5000 1
O1 O 0.0000 0.5000 0.0000 1
O2 O 0.1728 0.3457 0.3246 1
```

---

Diffraction record for Ba2Tb2Co4O11. The powder diffraction line list is computed, not measured: it uses the PBE+U geometry in the Materials Project and copper Kα.
Lines closer than 0.1° are merged.

The 6 most intense peaks (15 to 90 degrees two-theta), most intense first:
- hkl 1 2 0, d = 2.747 Å, rel. 1000
- hkl 1 0 2, d = 2.777 Å, rel. 466
- hkl 2 2 2, d = 1.597 Å, rel. 361
- hkl 1 2 2, d = 2.251 Å, rel. 209
- hkl 1 4 2, d = 1.581 Å, rel. 207
- hkl 2 0 0, d = 1.961 Å, rel. 154

Cell and atoms:
```
data_Ba2Tb2Co4O11
_chemical_formula_sum 'Ba2 Tb2 Co4 O11'
_cell_length_a 3.921
_cell_length_b 7.689
_cell_length_c 7.865
_cell_angle_alpha 90.00
_cell_angle_beta 90.00
_cell_angle_gamma 90.00
_symmetry_space_group_name_H-M 'P m m m'
_symmetry_Int_Tables_number 47
_symmetry_space_group_name_Hall '-P 2 2'
loop_
_atom_site_label
_atom_site_type_symbol
_atom_site_fract_x
_atom_site_fract_y
_atom_site_fract_z
_atom_site_occupancy
Ba1 Ba 0.000 0.000 0.249 1
Tb1 Tb 0.000 0.500 0.272 1
Co1 Co 0.500 0.254 0.500 1
Co2 Co 0.500 0.260 0.000 1
O1 O 0.000 0.278 0.500 1
O2 O 0.000 0.316 0.000 1
O3 O 0.500 0.000 0.000 1
O4 O 0.500 0.000 0.500 1
O5 O 0.500 0.303 0.230 1
O6 O 0.500 0.500 0.500 1
```

---

Diffraction record for Ba2YTlCo2O7. The powder diffraction line list is computed, not measured: it uses the PBE+U geometry in the Materials Project and copper Kα.
Lines closer than 0.1° are merged.

The 6 most intense peaks (15 to 90 degrees two-theta), most intense first:
- hkl 1 3 1, d = 2.885 Å, rel. 1000
- hkl 1 2 1, d = 3.356 Å, rel. 453
- hkl 0 0 2, d = 2.822 Å, rel. 353
- hkl 2 0 0, d = 2.783 Å, rel. 353
- hkl 2 0 2, d = 1.982 Å, rel. 346
- hkl 1 3 3, d = 1.641 Å, rel. 292

Cell and atoms:
```
data_Ba2YTlCo2O7
_chemical_formula_sum 'Ba4 Y2 Tl2 Co4 O14'
_cell_length_a 5.566
_cell_length_b 12.621
_cell_length_c 5.645
_cell_angle_alpha 90.00
_cell_angle_beta 90.07
_cell_angle_gamma 90.00
_symmetry_space_group_name_H-M 'P 1 m 1'
_symmetry_Int_Tables_number 6
_symmetry_space_group_name_Hall 'P -2y'
loop_
_atom_site_label
_atom_site_type_symbol
_atom_site_fract_x
_atom_site_fract_y
_atom_site_fract_z
_atom_site_occupancy
Ba1 Ba 0.000 0.208 0.000 1
Ba2 Ba 0.500 0.208 0.494 1
Y1 Y 0.001 0.500 0.997 1
Y2 Y 0.501 0.500 0.497 1
Tl1 Tl 0.468 0.000 0.957 1
Tl2 Tl 0.966 0.000 0.538 1
Co1 Co 0.001 0.368 0.497 1
Co2 Co 0.501 0.370 0.997 1
O1 O 0.007 0.169 0.486 1
O2 O 0.053 0.000 0.936 1
O3 O 0.250 0.386 0.747 1
O4 O 0.250 0.387 0.247 1
O5 O 0.508 0.168 0.007 1
O6 O 0.552 0.000 0.556 1
O7 O 0.750 0.386 0.248 1
O8 O 0.750 0.386 0.747 1
```

---

Diffraction record for Ba2YTlCo2O7. The powder diffraction line list is computed, not measured: it uses the PBE+U geometry in the Materials Project and copper Kα.
Lines closer than 0.1° are merged.

The 6 most intense peaks (15 to 90 degrees two-theta), most intense first:
- hkl 1 2 1, d = 2.803 Å, rel. 1000
- hkl 0 2 -2, d = 2.888 Å, rel. 708
- hkl 1 0 3, d = 2.865 Å, rel. 707
- hkl 0 2 3, d = 3.369 Å, rel. 329
- hkl 1 2 5, d = 2.090 Å, rel. 321
- hkl 1 0 2, d = 3.333 Å, rel. 308

Cell and atoms:
```
data_Ba2YTlCo2O7
_chemical_formula_sum 'Ba4 Y2 Tl2 Co4 O14'
_cell_length_a 3.934
_cell_length_b 7.988
_cell_length_c 13.160
_cell_angle_alpha 72.39
_cell_angle_beta 89.98
_cell_angle_gamma 89.95
_symmetry_space_group_name_H-M 'P 1'
_symmetry_Int_Tables_number 1
_symmetry_space_group_name_Hall 'P 1'
loop_
_atom_site_label
_atom_site_type_symbol
_atom_site_fract_x
_atom_site_fract_y
_atom_site_fract_z
_atom_site_occupancy
Ba1 Ba 0.000 0.000 0.000 1
Ba2 Ba 0.000 0.208 0.583 1
Ba3 Ba 0.984 0.500 0.000 1
Ba4 Ba 0.984 0.708 0.583 1
Y1 Y 0.991 0.356 0.291 1
Y2 Y 0.991 0.855 0.291 1
Tl1 Tl 0.492 0.322 0.791 1
Tl2 Tl 0.492 0.821 0.792 1
Co1 Co 0.491 0.172 0.158 1
Co2 Co 0.491 0.538 0.425 1
Co3 Co 0.491 0.672 0.158 1
Co4 Co 0.492 0.039 0.424 1
O1 O 0.487 0.414 0.176 1
O2 O 0.487 0.797 0.407 1
O3 O 0.493 0.276 0.962 1
O4 O 0.493 0.447 0.620 1
O5 O 0.494 0.777 0.962 1
O6 O 0.495 0.297 0.406 1
O7 O 0.495 0.913 0.176 1
O8 O 0.495 0.947 0.621 1
O9 O 0.991 0.048 0.405 1
O10 O 0.991 0.162 0.178 1
O11 O 0.991 0.548 0.405 1
O12 O 0.991 0.662 0.178 1
O13 O 0.994 0.161 0.791 1
O14 O 0.995 0.660 0.792 1
```